Calculated powder diffractogram of TbPd6Au23 for Cu Ka, from a GGA-PBE-relaxed structure.
Lines closer than 0.1° are merged.

Principal peaks in the range 2θ from 10° to 90°, most intense first:
2θ/deg, Rel. int., h k l
38.02, 100, 2 2 4
44.43, 32, 4 0 0
77.53, 26, 6 2 4
64.09, 22, 4 0 8
43.71, 17, 0 0 8
76.50, 13, 2 2 12
81.32, 11, 4 4 8
64.65, 11, 4 4 0
24.33, 8, 2 0 2
21.45, 3, 0 0 4

Unit cell a=8.1558 b=8.1558 c=16.5669 alpha=90.00 beta=90.00 gamma=90.00
Space group I4/mmm (No. 139)
Symmetry-distinct sites (fractional):
Tb (0.0000, 0.0000, 0.0000) [2 per cell]
Pd (0.0000, 0.0000, 0.2482) [4 per cell]
Pd (0.2486, 0.2486, 0.0000) [8 per cell]
Au (0.0000, 0.0000, 0.5000) [2 per cell]
Au (0.0000, 0.2490, 0.3736) [16 per cell]
Au (0.0000, 0.2568, 0.1290) [16 per cell]
Au (0.0000, 0.5000, 0.0000) [4 per cell]
Au (0.2500, 0.2500, 0.2500) [8 per cell]